CaBiB2O6: calculated powder X-ray diffraction pattern (Cu Kα, 1.54184 Å), based on a PBE-relaxed structure.
Neutral-atom scattering factors, no anomalous dispersion.

Crystal structure
Cell: 5.0819 5.0819 16.9908 Å, 90.00 90.00 120.00°
Space group R-3 (No. 148, hexagonal axes)
Unique sites:
Ca 0.0000 0.0000 0.0000
Bi 0.0000 0.0000 0.5000
B 0.0000 0.0000 0.2447
O 0.0004 0.2728 0.2462

Principal peaks in the range 15° ≤ 2θ ≤ 90°, by angle:
Position (°2θ), intensity, (hkl)
15.65, 49, 0 0 3
20.85, 68, 1 0 1
22.76, 90, 0 1 2
29.22, 100, 1 0 4
35.32, 36, 1 1 0
38.85, 36, 2 -1 3
42.43, 30, 2 0 2
47.54, 25, 0 1 8
48.12, 47, 2 -1 6
56.38, 30, 3 -2 2